For KSbWO6, DFT lattice parameters and positions (PBE+U) gives the simulated powder diffractogram in this record (a wavelength of 1.5418 Å).

Atomic structure:
Unit cell a=7.366 b=7.366 c=7.366 alpha=120.74 beta=89.64 gamma=119.67
Fractional positions:
K1 0.153 0.250 0.403
K2 0.847 0.750 0.597
Sb1 0.443 0.443 0.000
Sb2 0.443 0.943 0.500
W1 0.446 0.945 0.001
W2 0.944 0.445 0.999
O1 0.122 0.309 0.934
O2 0.122 0.688 0.313
O3 0.133 0.692 0.941
O4 0.363 0.189 0.674
O5 0.375 0.188 0.066
O6 0.375 0.809 0.687
O7 0.506 0.075 0.312
O8 0.506 0.694 0.932
O9 0.514 0.689 0.326
O10 0.751 0.192 0.059
O11 0.762 0.194 0.688
O12 0.762 0.575 0.068

The 8 most intense peaks (2θ = 10–80°), in order of rising 2θ:
14.7 deg, 6.040 Å, I 49.7
14.8 deg, 5.975 Å, I 88.7
28.4 deg, 3.146 Å, I 100.0
28.6 deg, 3.119 Å, I 27.1
29.6 deg, 3.020 Å, I 48.3
29.9 deg, 2.987 Å, I 56.3
49.5 deg, 1.841 Å, I 35.8
58.7 deg, 1.573 Å, I 22.0